Starting from a cell relaxed with GGA-PBE, the XRD peak list of CaMg5 was simulated for Cu Kα, 1.54184 Å.

Largest 12 diffraction maxima, in order of rising 2θ, 2θ = 5–70°:
hkl  d_spacing  I/Imax
0 1 3  2.940  25
0 0 6  2.881  12
2 0 0  2.630  36
1 1 3  2.566  100
1 0 6  2.526  47
2 1 3  1.960  15
0 2 0  1.709  9
0 1 9  1.674  16
3 1 3  1.506  18
2 2 0  1.433  10
1 2 6  1.416  14
2 1 9  1.412  18

Crystal structure
```
data_CaMg5
_space_group_name_H-M_alt 'A m m 2'
_space_group_IT_number 38
_cell_length_a 5.259
_cell_length_b 3.419
_cell_length_c 17.284
_cell_angle_alpha 90.00
_cell_angle_beta 90.00
_cell_angle_gamma 90.00
loop_
_space_group_symop_operation_xyz
'x,y,z'
'-x,-y,z'
'-x,y,z'
'x,-y,z'
'x,y+1/2,z+1/2'
'-x,-y+1/2,z+1/2'
'-x,y+1/2,z+1/2'
'x,-y+1/2,z+1/2'
loop_
_atom_site_label
_atom_site_type_symbol
_atom_site_fract_x
_atom_site_fract_y
_atom_site_fract_z
Ca1 Ca 0.000 0.000 0.000
Mg1 Mg 0.000 0.000 0.330
Mg2 Mg 0.000 0.000 0.675
Mg3 Mg 0.500 0.000 0.117
Mg4 Mg 0.500 0.000 0.439
Mg5 Mg 0.500 0.000 0.781
```

***

Starting from a cell relaxed with GGA-PBE, the XRD peak list of CaMg5 was simulated for Cu Kα, 1.54184 Å.

Largest 12 diffraction maxima, in order of rising 2θ, 2θ = 5–70°:
hkl  d_spacing  I/Imax
2 0 2  2.862  68
4 0 -2  2.711  74
4 0 1  2.619  48
3 1 0  2.575  100
1 1 -2  2.490  92
0 0 3  2.449  39
0 2 0  1.652  47
7 1 -2  1.557  18
5 1 -4  1.501  17
7 1 1  1.457  19
4 2 -2  1.411  25
1 1 -5  1.368  15

Crystal structure
```
data_CaMg5
_space_group_name_H-M_alt 'C 1 m 1'
_space_group_IT_number 8
_cell_length_a 12.707
_cell_length_b 3.307
_cell_length_c 7.580
_cell_angle_alpha 90.00
_cell_angle_beta 104.26
_cell_angle_gamma 90.00
loop_
_space_group_symop_operation_xyz
'x,y,z'
'x,-y,z'
'x+1/2,y+1/2,z'
'x+1/2,-y+1/2,z'
loop_
_atom_site_label
_atom_site_type_symbol
_atom_site_fract_x
_atom_site_fract_y
_atom_site_fract_z
Ca1 Ca 0.000 0.000 0.000
Mg1 Mg 0.121 0.500 0.719
Mg2 Mg 0.177 0.500 0.347
Mg3 Mg 0.275 0.000 0.066
Mg4 Mg 0.327 0.000 0.663
Mg5 Mg 0.447 0.500 0.406
```

***

Starting from a cell relaxed with GGA-PBE, the XRD peak list of CaMg was simulated for Cu Kα, 1.54184 Å.

Largest 12 diffraction maxima, in order of rising 2θ, 2θ = 5–70°:
hkl  d_spacing  I/Imax
1 1 1  3.120  37
2 0 2  3.027  28
4 0 -2  2.903  68
3 1 0  2.764  100
1 1 -2  2.733  97
4 0 1  2.714  36
0 0 3  2.655  38
0 2 0  1.820  17
3 1 3  1.765  28
7 1 -2  1.655  17
4 2 -2  1.542  18
1 1 -5  1.493  16

Crystal structure
```
data_CaMg
_space_group_name_H-M_alt 'C 1 m 1'
_space_group_IT_number 8
_cell_length_a 13.242
_cell_length_b 3.640
_cell_length_c 8.278
_cell_angle_alpha 90.00
_cell_angle_beta 105.81
_cell_angle_gamma 90.00
loop_
_space_group_symop_operation_xyz
'x,y,z'
'x,-y,z'
'x+1/2,y+1/2,z'
'x+1/2,-y+1/2,z'
loop_
_atom_site_label
_atom_site_type_symbol
_atom_site_fract_x
_atom_site_fract_y
_atom_site_fract_z
Ca1 Ca 0.000 0.000 0.000
Ca2 Ca 0.052 0.000 0.607
Ca3 Ca 0.194 0.500 0.339
Mg1 Mg 0.231 0.500 0.941
Mg2 Mg 0.335 0.000 0.674
Mg3 Mg 0.398 0.000 0.269
```

***

Starting from a cell relaxed with GGA-PBE, the XRD peak list of Ca5Mg was simulated for Cu Kα, 1.54184 Å.

Largest 12 diffraction maxima, in order of rising 2θ, 2θ = 5–70°:
hkl  d_spacing  I/Imax
0 0 5  3.748  6
1 0 0  3.305  25
0 0 6  3.122  27
1 0 3  2.922  100
1 0 5  2.479  3
1 0 6  2.270  13
1 1 0  1.909  26
1 0 9  1.762  12
0 0 11  1.702  5
1 1 6  1.629  19
2 0 3  1.598  14
1 0 11  1.514  3

Crystal structure
```
data_Ca5Mg
_space_group_name_H-M_alt 'P -6 m 2'
_space_group_IT_number 187
_space_group_name_Hall 'P -6 2'
_cell_length_a 3.8168
_cell_length_b 3.8168
_cell_length_c 18.7376
_cell_angle_alpha 90.00
_cell_angle_beta 90.00
_cell_angle_gamma 120.00
loop_
_atom_site_label
_atom_site_type_symbol
_atom_site_fract_x
_atom_site_fract_y
_atom_site_fract_z
Ca1 Ca 0.0000 0.0000 0.0000
Ca2 Ca 0.0000 0.0000 0.3528
Ca3 Ca 0.3333 0.6667 0.1754
Mg1 Mg 0.3333 0.6667 0.5000
```

***

Starting from a cell relaxed with GGA-PBE, the XRD peak list of CaMg was simulated for Cu Kα, 1.54184 Å.

Largest 12 diffraction maxima, in order of rising 2θ, 2θ = 5–70°:
hkl  d_spacing  I/Imax
0 1 1  3.815  4
1 0 4  3.420  6
0 1 3  3.235  3
0 0 6  2.877  17
2 0 0  2.802  100
1 0 6  2.559  6
2 0 6  2.008  11
0 2 0  1.956  7
1 1 9  1.646  8
3 1 3  1.618  19
2 2 0  1.604  7
2 2 6  1.401  6

Crystal structure
```
data_CaMg
_space_group_name_H-M_alt 'A m m 2'
_space_group_IT_number 38
_cell_length_a 5.607
_cell_length_b 3.912
_cell_length_c 17.259
_cell_angle_alpha 90.00
_cell_angle_beta 90.00
_cell_angle_gamma 90.00
loop_
_space_group_symop_operation_xyz
'x,y,z'
'-x,-y,z'
'-x,y,z'
'x,-y,z'
'x,y+1/2,z+1/2'
'-x,-y+1/2,z+1/2'
'-x,y+1/2,z+1/2'
'x,-y+1/2,z+1/2'
loop_
_atom_site_label
_atom_site_type_symbol
_atom_site_fract_x
_atom_site_fract_y
_atom_site_fract_z
Ca1 Ca 0.000 0.000 0.000
Ca2 Ca 0.000 0.000 0.317
Ca3 Ca 0.500 0.000 0.141
Mg1 Mg 0.000 0.000 0.663
Mg2 Mg 0.500 0.000 0.456
Mg3 Mg 0.500 0.000 0.808
```

***

Starting from a cell relaxed with GGA-PBE, the XRD peak list of CaMg2 was simulated for Cu Kα, 1.54184 Å.

Largest 12 diffraction maxima, in order of rising 2θ, 2θ = 5–70°:
hkl  d_spacing  I/Imax
1 1 1  2.979  22
2 0 2  2.874  37
4 0 -2  2.807  64
3 1 0  2.685  100
4 0 1  2.659  26
1 1 -2  2.582  91
0 0 3  2.468  22
0 2 0  1.742  15
3 1 3  1.679  21
7 1 -2  1.620  18
5 1 -4  1.552  15
4 2 -2  1.480  16

Crystal structure
```
data_CaMg2
_space_group_name_H-M_alt 'C 1 2/m 1'
_space_group_IT_number 12
_cell_length_a 13.129
_cell_length_b 3.484
_cell_length_c 7.690
_cell_angle_alpha 90.00
_cell_angle_beta 105.68
_cell_angle_gamma 90.00
loop_
_space_group_symop_operation_xyz
'x,y,z'
'-x,-y,-z'
'-x,y,-z'
'x,-y,z'
'x+1/2,y+1/2,z'
'-x+1/2,-y+1/2,-z'
'-x+1/2,y+1/2,-z'
'x+1/2,-y+1/2,z'
loop_
_atom_site_label
_atom_site_type_symbol
_atom_site_fract_x
_atom_site_fract_y
_atom_site_fract_z
Ca1 Ca 0.022 0.000 0.280
Mg1 Mg 0.160 0.500 0.038
Mg2 Mg 0.199 0.500 0.636
```

***

Starting from a cell relaxed with GGA-PBE, the XRD peak list of CaMg was simulated for Cu Kα, 1.54184 Å.

Largest 12 diffraction maxima, in order of rising 2θ, 2θ = 5–70°:
hkl  d_spacing  I/Imax
0 2 0  3.079  27
3 1 -1  3.062  38
0 0 2  2.914  73
3 1 0  2.786  100
0 2 1  2.722  82
3 1 -2  2.641  88
0 2 2  2.116  17
3 3 -1  1.774  30
3 1 2  1.690  20
3 1 -4  1.594  16
3 3 1  1.541  19
0 0 4  1.457  18

Crystal structure
```
data_CaMg
_space_group_name_H-M_alt 'C 1 2 1'
_space_group_IT_number 5
_cell_length_a 10.616
_cell_length_b 6.158
_cell_length_c 6.602
_cell_angle_alpha 90.00
_cell_angle_beta 118.04
_cell_angle_gamma 90.00
loop_
_space_group_symop_operation_xyz
'x,y,z'
'-x,y,-z'
'x+1/2,y+1/2,z'
'-x+1/2,y+1/2,-z'
loop_
_atom_site_label
_atom_site_type_symbol
_atom_site_fract_x
_atom_site_fract_y
_atom_site_fract_z
Ca1 Ca 0.000 0.000 0.000
Ca2 Ca 0.162 0.640 0.491
Mg1 Mg 0.000 0.148 0.500
Mg2 Mg 0.169 0.475 0.997
```

***

Starting from a cell relaxed with GGA-PBE, the XRD peak list of CaMg was simulated for Cu Kα, 1.54184 Å.

Largest 12 diffraction maxima, in order of rising 2θ, 2θ = 5–70°:
hkl  d_spacing  I/Imax
0 0 1  17.054  4
0 0 2  8.527  4
0 0 4  4.264  4
1 0 0  3.156  26
0 1 1  3.104  4
0 0 6  2.842  22
1 0 3  2.759  100
0 1 6  2.112  14
1 1 0  1.822  19
1 0 9  1.625  14
1 1 6  1.534  18
0 2 3  1.521  14

Crystal structure
```
data_CaMg
_space_group_name_H-M_alt 'P 3 m 1'
_space_group_IT_number 156
_cell_length_a 3.6446
_cell_length_b 3.6446
_cell_length_c 17.0544
_cell_angle_alpha 90.00
_cell_angle_beta 90.00
_cell_angle_gamma 120.00
loop_
_space_group_symop_operation_xyz
'x,y,z'
'-y,x-y,z'
'-x+y,-x,z'
'-y,-x,z'
'-x+y,y,z'
'x,x-y,z'
loop_
_atom_site_label
_atom_site_type_symbol
_atom_site_fract_x
_atom_site_fract_y
_atom_site_fract_z
Ca1 Ca 0.0000 0.0000 0.0000
Ca2 Ca 0.0000 0.0000 0.3296
Ca3 Ca 0.6667 0.3333 0.8109
Mg1 Mg 0.0000 0.0000 0.6456
Mg2 Mg 0.6667 0.3333 0.1645
Mg3 Mg 0.6667 0.3333 0.4964
```